[1]
Starting from a crystal structure in Alexandria, relaxed with GGA-PBE, the powder XRD pattern of Mg15SnPb4 was computed for λ = 1.5418 Å (Cu Kα).
Lines closer than 0.1° are merged.

Atomic structure:
```
data_Mg15SnPb4
_chemical_formula_sum 'Mg15 Sn1 Pb4'
_symmetry_space_group_name_H-M 'P 1'
_symmetry_Int_Tables_number 1
_symmetry_space_group_name_Hall 'P 1'
_cell_length_a 4.487
_cell_length_b 4.487
_cell_length_c 23.465
_cell_angle_alpha 90.00
_cell_angle_beta 90.00
_cell_angle_gamma 90.00
loop_
_atom_site_label
_atom_site_fract_x
_atom_site_fract_y
_atom_site_fract_z
Mg1 0.000 0.000 0.000
Mg2 0.000 0.000 0.197
Mg3 0.000 0.000 0.399
Mg4 0.000 0.000 0.601
Mg5 0.000 0.000 0.803
Mg6 0.000 0.500 0.096
Mg7 0.000 0.500 0.298
Mg8 0.000 0.500 0.500
Mg9 0.000 0.500 0.702
Mg10 0.000 0.500 0.904
Mg11 0.500 0.000 0.096
Mg12 0.500 0.000 0.298
Mg13 0.500 0.000 0.500
Mg14 0.500 0.000 0.702
Mg15 0.500 0.000 0.904
Sn1 0.500 0.500 0.000
Pb1 0.500 0.500 0.198
Pb2 0.500 0.500 0.399
Pb3 0.500 0.500 0.601
Pb4 0.500 0.500 0.802
```

Largest 12 diffraction maxima, low angle first, 2θ from 10° to 90°:
| 2θ (°) | Rel. int. |
| --- | --- |
| 18.9 | 384 |
| 19.8 | 693 |
| 27.5 | 641 |
| 28.1 | 304 |
| 34.1 | 1000 |
| 38.4 | 180 |
| 40.2 | 321 |
| 43.5 | 194 |
| 44.8 | 180 |
| 49.4 | 272 |
| 56.8 | 231 |
| 69.2 | 259 |

[2]
Starting from a crystal structure in Alexandria, relaxed with GGA-PBE, the powder XRD pattern of Pu2AlSiAu6 was computed for λ = 1.5418 Å (Cu Kα).
Lines closer than 0.1° are merged.

Atomic structure:
```
data_Pu2AlSiAu6
_chemical_formula_sum 'Pu2 Al1 Si1 Au6'
_symmetry_space_group_name_H-M 'P 1'
_symmetry_Int_Tables_number 1
_symmetry_space_group_name_Hall 'P 1'
_cell_length_a 5.548
_cell_length_b 6.794
_cell_length_c 6.803
_cell_angle_alpha 80.60
_cell_angle_beta 66.29
_cell_angle_gamma 66.14
loop_
_atom_site_label
_atom_site_fract_x
_atom_site_fract_y
_atom_site_fract_z
Pu1 0.013 0.246 0.230
Pu2 0.987 0.754 0.770
Al1 0.500 0.000 0.500
Si1 0.500 0.500 0.000
Au1 0.001 0.213 0.783
Au2 0.357 0.398 0.395
Au3 0.498 0.790 0.212
Au4 0.502 0.210 0.788
Au5 0.643 0.602 0.605
Au6 0.999 0.787 0.217
```

Largest 12 diffraction maxima, low angle first, 2θ from 10° to 90°:
| 2θ (°) | Rel. int. |
| --- | --- |
| 27.7 | 236 |
| 27.9 | 339 |
| 28.7 | 937 |
| 32.2 | 474 |
| 38.2 | 328 |
| 38.4 | 1000 |
| 38.5 | 306 |
| 40.2 | 203 |
| 40.4 | 231 |
| 40.5 | 308 |
| 41.0 | 509 |
| 63.5 | 172 |

[3]
Starting from a crystal structure in Alexandria, relaxed with GGA-PBE, the powder XRD pattern of Pu5SnPd3 was computed for λ = 1.5418 Å (Cu Kα).
Lines closer than 0.1° are merged.

Atomic structure:
```
data_Pu5SnPd3
_chemical_formula_sum 'Pu10 Sn2 Pd6'
_symmetry_space_group_name_H-M 'P 1'
_symmetry_Int_Tables_number 1
_symmetry_space_group_name_Hall 'P 1'
_cell_length_a 7.020
_cell_length_b 7.020
_cell_length_c 9.788
_cell_angle_alpha 99.66
_cell_angle_beta 99.66
_cell_angle_gamma 68.79
loop_
_atom_site_label
_atom_site_fract_x
_atom_site_fract_y
_atom_site_fract_z
Pu1 0.007 0.007 0.635
Pu2 0.089 0.601 0.323
Pu3 0.177 0.823 0.000
Pu4 0.242 0.242 0.939
Pu5 0.399 0.911 0.677
Pu6 0.601 0.089 0.323
Pu7 0.758 0.758 0.061
Pu8 0.823 0.177 0.000
Pu9 0.911 0.399 0.677
Pu10 0.993 0.993 0.365
Sn1 0.413 0.413 0.727
Sn2 0.587 0.587 0.273
Pd1 0.180 0.180 0.206
Pd2 0.249 0.249 0.490
Pd3 0.500 0.500 0.000
Pd4 0.500 0.500 0.500
Pd5 0.751 0.751 0.510
Pd6 0.820 0.820 0.794
```

Largest 12 diffraction maxima, low angle first, 2θ from 10° to 90°:
| 2θ (°) | Rel. int. |
| --- | --- |
| 13.6 | 202 |
| 21.7 | 262 |
| 27.9 | 383 |
| 30.0 | 1000 |
| 31.4 | 465 |
| 34.8 | 280 |
| 38.5 | 226 |
| 38.6 | 188 |
| 39.0 | 273 |
| 40.1 | 273 |
| 45.8 | 249 |
| 50.8 | 253 |

[4]
Starting from a crystal structure in Alexandria, relaxed with GGA-PBE, the powder XRD pattern of LaMg16Al12 was computed for λ = 1.5418 Å (Cu Kα).
Lines closer than 0.1° are merged.

Atomic structure:
```
data_LaMg16Al12
_chemical_formula_sum 'La1 Mg16 Al12'
_symmetry_space_group_name_H-M 'P 1'
_symmetry_Int_Tables_number 1
_symmetry_space_group_name_Hall 'P 1'
_cell_length_a 9.251
_cell_length_b 9.251
_cell_length_c 9.251
_cell_angle_alpha 109.98
_cell_angle_beta 109.98
_cell_angle_gamma 109.98
loop_
_atom_site_label
_atom_site_fract_x
_atom_site_fract_y
_atom_site_fract_z
La1 0.000 0.000 0.000
Mg1 0.058 0.058 0.657
Mg2 0.058 0.657 0.058
Mg3 0.094 0.759 0.759
Mg4 0.372 0.685 0.979
Mg5 0.372 0.979 0.685
Mg6 0.376 0.376 0.718
Mg7 0.376 0.718 0.376
Mg8 0.380 0.380 0.380
Mg9 0.657 0.058 0.058
Mg10 0.685 0.372 0.979
Mg11 0.685 0.979 0.372
Mg12 0.718 0.376 0.376
Mg13 0.759 0.094 0.759
Mg14 0.759 0.759 0.094
Mg15 0.979 0.372 0.685
Mg16 0.979 0.685 0.372
Al1 0.009 0.189 0.377
Al2 0.009 0.377 0.189
Al3 0.189 0.009 0.377
Al4 0.189 0.377 0.009
Al5 0.200 0.561 0.561
Al6 0.377 0.009 0.189
Al7 0.377 0.189 0.009
Al8 0.559 0.743 0.743
Al9 0.561 0.200 0.561
Al10 0.561 0.561 0.200
Al11 0.743 0.559 0.743
Al12 0.743 0.743 0.559
```

Largest 12 diffraction maxima, low angle first, 2θ from 10° to 90°:
| 2θ (°) | Rel. int. |
| --- | --- |
| 11.7 | 524 |
| 11.9 | 306 |
| 16.7 | 208 |
| 20.4 | 253 |
| 31.3 | 240 |
| 35.6 | 868 |
| 35.9 | 978 |
| 36.3 | 1000 |
| 39.5 | 474 |
| 41.6 | 232 |
| 64.3 | 263 |
| 65.1 | 168 |

[5]
Starting from a crystal structure in Alexandria, relaxed with GGA-PBE, the powder XRD pattern of K11Rb17In was computed for λ = 1.5418 Å (Cu Kα).
Lines closer than 0.1° are merged.

Atomic structure:
```
data_K11Rb17In
_chemical_formula_sum 'K11 Rb17 In1'
_symmetry_space_group_name_H-M 'P 1'
_symmetry_Int_Tables_number 1
_symmetry_space_group_name_Hall 'P 1'
_cell_length_a 14.589
_cell_length_b 14.589
_cell_length_c 14.098
_cell_angle_alpha 109.07
_cell_angle_beta 109.07
_cell_angle_gamma 109.61
loop_
_atom_site_label
_atom_site_fract_x
_atom_site_fract_y
_atom_site_fract_z
K1 0.000 0.000 0.000
K2 0.156 0.984 0.353
K3 0.398 0.582 0.036
K4 0.405 0.788 0.862
K5 0.582 0.398 0.036
K6 0.616 0.981 0.242
K7 0.618 0.801 0.701
K8 0.788 0.405 0.862
K9 0.801 0.618 0.701
K10 0.981 0.616 0.242
K11 0.984 0.156 0.353
Rb1 0.050 0.435 0.707
Rb2 0.093 0.785 0.650
Rb3 0.116 0.351 0.075
Rb4 0.150 0.753 0.029
Rb5 0.158 0.158 0.740
Rb6 0.201 0.508 0.452
Rb7 0.351 0.116 0.075
Rb8 0.390 0.788 0.368
Rb9 0.402 0.402 0.658
Rb10 0.435 0.050 0.707
Rb11 0.481 0.481 0.350
Rb12 0.508 0.201 0.452
Rb13 0.743 0.743 0.030
Rb14 0.753 0.150 0.029
Rb15 0.784 0.784 0.397
Rb16 0.785 0.093 0.650
Rb17 0.788 0.390 0.368
In1 0.232 0.232 0.300
```

Largest 12 diffraction maxima, low angle first, 2θ from 10° to 90°:
| 2θ (°) | Rel. int. |
| --- | --- |
| 12.9 | 170 |
| 21.1 | 159 |
| 22.3 | 610 |
| 22.4 | 1000 |
| 22.6 | 820 |
| 22.8 | 542 |
| 23.0 | 678 |
| 24.8 | 226 |
| 24.9 | 352 |
| 26.8 | 217 |
| 26.9 | 183 |
| 39.9 | 318 |

[6]
Starting from a crystal structure in Alexandria, relaxed with GGA-PBE, the powder XRD pattern of CsLiAcTe2 was computed for λ = 1.5418 Å (Cu Kα).
Lines closer than 0.1° are merged.

Atomic structure:
```
data_CsLiAcTe2
_chemical_formula_sum 'Cs2 Li2 Ac2 Te4'
_symmetry_space_group_name_H-M 'P 1'
_symmetry_Int_Tables_number 1
_symmetry_space_group_name_Hall 'P 1'
_cell_length_a 9.255
_cell_length_b 9.255
_cell_length_c 7.227
_cell_angle_alpha 90.00
_cell_angle_beta 90.00
_cell_angle_gamma 133.65
loop_
_atom_site_label
_atom_site_fract_x
_atom_site_fract_y
_atom_site_fract_z
Cs1 0.250 0.750 0.766
Cs2 0.750 0.250 0.234
Li1 0.000 0.000 0.000
Li2 0.500 0.500 0.000
Ac1 0.250 0.250 0.500
Ac2 0.750 0.750 0.500
Te1 0.118 0.882 0.240
Te2 0.382 0.618 0.240
Te3 0.618 0.382 0.760
Te4 0.882 0.118 0.760
```

Largest 12 diffraction maxima, low angle first, 2θ from 10° to 90°:
| 2θ (°) | Rel. int. |
| --- | --- |
| 12.2 | 337 |
| 16.1 | 559 |
| 23.4 | 1000 |
| 26.6 | 357 |
| 26.8 | 369 |
| 29.4 | 239 |
| 31.5 | 311 |
| 32.4 | 224 |
| 32.5 | 236 |
| 35.0 | 578 |
| 42.4 | 291 |
| 56.2 | 436 |

[7]
Starting from a crystal structure in Alexandria, relaxed with GGA-PBE, the powder XRD pattern of PrNdTe2Cl was computed for λ = 1.5418 Å (Cu Kα).
Lines closer than 0.1° are merged.

Atomic structure:
```
data_PrNdTe2Cl
_chemical_formula_sum 'Pr2 Nd2 Te4 Cl2'
_symmetry_space_group_name_H-M 'P 1'
_symmetry_Int_Tables_number 1
_symmetry_space_group_name_Hall 'P 1'
_cell_length_a 4.433
_cell_length_b 4.433
_cell_length_c 15.233
_cell_angle_alpha 90.00
_cell_angle_beta 90.00
_cell_angle_gamma 90.00
loop_
_atom_site_label
_atom_site_fract_x
_atom_site_fract_y
_atom_site_fract_z
Pr1 0.250 0.250 0.133
Pr2 0.750 0.750 0.867
Nd1 0.250 0.250 0.586
Nd2 0.750 0.750 0.414
Te1 0.250 0.250 0.373
Te2 0.250 0.250 0.799
Te3 0.750 0.750 0.201
Te4 0.750 0.750 0.627
Cl1 0.250 0.750 0.000
Cl2 0.750 0.250 0.000
```

Largest 12 diffraction maxima, low angle first, 2θ from 10° to 90°:
| 2θ (°) | Rel. int. |
| --- | --- |
| 23.4 | 232 |
| 28.5 | 1000 |
| 29.3 | 170 |
| 31.0 | 299 |
| 35.8 | 344 |
| 37.1 | 453 |
| 40.7 | 498 |
| 55.3 | 196 |
| 58.4 | 253 |
| 58.9 | 166 |
| 66.7 | 179 |
| 73.6 | 252 |

[8]
Starting from a crystal structure in Alexandria, relaxed with GGA-PBE, the powder XRD pattern of AgBi2IO8 was computed for λ = 1.5418 Å (Cu Kα).
Lines closer than 0.1° are merged.

Atomic structure:
```
data_AgBi2IO8
_chemical_formula_sum 'Ag1 Bi2 I1 O8'
_symmetry_space_group_name_H-M 'P 1'
_symmetry_Int_Tables_number 1
_symmetry_space_group_name_Hall 'P 1'
_cell_length_a 5.026
_cell_length_b 5.069
_cell_length_c 7.064
_cell_angle_alpha 84.57
_cell_angle_beta 85.89
_cell_angle_gamma 87.31
loop_
_atom_site_label
_atom_site_fract_x
_atom_site_fract_y
_atom_site_fract_z
Ag1 0.000 0.000 0.000
Bi1 0.478 0.491 0.754
Bi2 0.522 0.509 0.246
I1 0.000 0.000 0.500
O1 0.141 0.152 0.719
O2 0.168 0.246 0.316
O3 0.304 0.761 0.487
O4 0.306 0.710 0.001
O5 0.694 0.290 0.999
O6 0.696 0.239 0.513
O7 0.832 0.754 0.684
O8 0.859 0.848 0.281
```

Largest 12 diffraction maxima, low angle first, 2θ from 10° to 90°:
| 2θ (°) | Rel. int. |
| --- | --- |
| 24.5 | 1000 |
| 25.6 | 854 |
| 29.7 | 558 |
| 30.1 | 496 |
| 32.1 | 368 |
| 32.4 | 414 |
| 35.6 | 252 |
| 35.9 | 263 |
| 44.7 | 200 |
| 45.1 | 176 |
| 47.4 | 181 |
| 58.7 | 178 |

[9]
Starting from a crystal structure in Alexandria, relaxed with GGA-PBE, the powder XRD pattern of BaZn2C was computed for λ = 1.5418 Å (Cu Kα).
Lines closer than 0.1° are merged.

Atomic structure:
```
data_BaZn2C
_chemical_formula_sum 'Ba2 Zn4 C2'
_symmetry_space_group_name_H-M 'P 1'
_symmetry_Int_Tables_number 1
_symmetry_space_group_name_Hall 'P 1'
_cell_length_a 6.404
_cell_length_b 6.404
_cell_length_c 6.404
_cell_angle_alpha 119.89
_cell_angle_beta 119.89
_cell_angle_gamma 90.19
loop_
_atom_site_label
_atom_site_fract_x
_atom_site_fract_y
_atom_site_fract_z
Ba1 0.375 0.625 0.750
Ba2 0.625 0.375 0.250
Zn1 0.000 0.000 0.000
Zn2 0.000 0.000 0.500
Zn3 0.000 0.500 0.000
Zn4 0.500 0.000 0.500
C1 0.125 0.875 0.250
C2 0.875 0.125 0.750
```

Largest 12 diffraction maxima, low angle first, 2θ from 10° to 90°:
| 2θ (°) | Rel. int. |
| --- | --- |
| 27.8 | 638 |
| 32.8 | 1000 |
| 34.3 | 247 |
| 49.3 | 250 |
| 52.4 | 262 |
| 52.6 | 87 |
| 57.5 | 105 |
| 57.6 | 208 |
| 65.0 | 72 |
| 67.8 | 120 |
| 79.0 | 83 |
| 81.5 | 119 |

[10]
Starting from a crystal structure in Alexandria, relaxed with GGA-PBE, the powder XRD pattern of VSbP2S was computed for λ = 1.5418 Å (Cu Kα).
Lines closer than 0.1° are merged.

Atomic structure:
```
data_VSbP2S
_chemical_formula_sum 'V1 Sb1 P2 S1'
_symmetry_space_group_name_H-M 'P 1'
_symmetry_Int_Tables_number 1
_symmetry_space_group_name_Hall 'P 1'
_cell_length_a 4.770
_cell_length_b 4.770
_cell_length_c 4.323
_cell_angle_alpha 90.00
_cell_angle_beta 90.00
_cell_angle_gamma 90.00
loop_
_atom_site_label
_atom_site_fract_x
_atom_site_fract_y
_atom_site_fract_z
V1 0.000 0.000 0.000
Sb1 0.500 0.500 0.500
P1 0.000 0.500 0.000
P2 0.500 0.000 0.000
S1 0.000 0.000 0.500
```

Largest 12 diffraction maxima, low angle first, 2θ from 10° to 90°:
| 2θ (°) | Rel. int. |
| --- | --- |
| 26.4 | 615 |
| 27.9 | 1000 |
| 33.7 | 871 |
| 37.7 | 815 |
| 41.8 | 300 |
| 47.5 | 458 |
| 50.1 | 205 |
| 54.4 | 265 |
| 57.6 | 445 |
| 65.6 | 240 |
| 70.9 | 235 |
| 75.1 | 112 |

[11]
Starting from a crystal structure in Alexandria, relaxed with GGA-PBE, the powder XRD pattern of NiBr2Cl was computed for λ = 1.5418 Å (Cu Kα).
Lines closer than 0.1° are merged.

Atomic structure:
```
data_NiBr2Cl
_chemical_formula_sum 'Ni1 Br2 Cl1'
_symmetry_space_group_name_H-M 'P 1'
_symmetry_Int_Tables_number 1
_symmetry_space_group_name_Hall 'P 1'
_cell_length_a 4.787
_cell_length_b 3.536
_cell_length_c 6.423
_cell_angle_alpha 90.00
_cell_angle_beta 111.26
_cell_angle_gamma 90.00
loop_
_atom_site_label
_atom_site_fract_x
_atom_site_fract_y
_atom_site_fract_z
Ni1 0.000 0.000 0.000
Br1 0.133 0.500 0.271
Br2 0.867 0.500 0.729
Cl1 0.500 0.000 0.000
```

Largest 12 diffraction maxima, low angle first, 2θ from 10° to 90°:
| 2θ (°) | Rel. int. |
| --- | --- |
| 14.8 | 614 |
| 19.9 | 843 |
| 20.1 | 791 |
| 29.3 | 715 |
| 32.4 | 324 |
| 37.6 | 600 |
| 38.8 | 430 |
| 39.0 | 434 |
| 39.4 | 1000 |
| 51.7 | 229 |
| 55.4 | 356 |
| 55.9 | 445 |

[12]
Starting from a crystal structure in Alexandria, relaxed with GGA-PBE, the powder XRD pattern of Zr3Cd4Ag2 was computed for λ = 1.5418 Å (Cu Kα).
Lines closer than 0.1° are merged.

Atomic structure:
```
data_Zr3Cd4Ag2
_chemical_formula_sum 'Zr6 Cd8 Ag4'
_symmetry_space_group_name_H-M 'P 1'
_symmetry_Int_Tables_number 1
_symmetry_space_group_name_Hall 'P 1'
_cell_length_a 8.472
_cell_length_b 8.472
_cell_length_c 5.956
_cell_angle_alpha 90.00
_cell_angle_beta 90.00
_cell_angle_gamma 120.11
loop_
_atom_site_label
_atom_site_fract_x
_atom_site_fract_y
_atom_site_fract_z
Zr1 0.000 0.000 0.250
Zr2 0.000 0.000 0.750
Zr3 0.331 0.669 0.250
Zr4 0.331 0.669 0.750
Zr5 0.669 0.331 0.250
Zr6 0.669 0.331 0.750
Cd1 0.001 0.669 0.000
Cd2 0.331 0.335 0.500
Cd3 0.331 0.999 0.500
Cd4 0.335 0.331 0.000
Cd5 0.665 0.669 0.000
Cd6 0.669 0.001 0.500
Cd7 0.669 0.665 0.500
Cd8 0.999 0.331 0.000
Ag1 0.000 0.335 0.500
Ag2 0.000 0.665 0.500
Ag3 0.335 0.000 0.000
Ag4 0.665 0.000 0.000
```

Largest 12 diffraction maxima, low angle first, 2θ from 10° to 90°:
| 2θ (°) | Rel. int. |
| --- | --- |
| 30.0 | 102 |
| 36.8 | 1000 |
| 36.9 | 824 |
| 48.2 | 159 |
| 53.1 | 278 |
| 62.4 | 67 |
| 66.2 | 203 |
| 66.3 | 239 |
| 74.6 | 233 |
| 78.3 | 68 |
| 89.7 | 82 |
| 89.9 | 43 |